The following is a calculated X-ray powder pattern of Li3B3H16N2. It was derived from the GGA-PBE geometry in Alexandria, using Cu Kα, 1.54184 Å.
Intensities are scaled so that the largest is 100.

Crystal structure
```
Li3B3H16N2
1.0
7.557 0.000 0.000
0.000 6.982 0.000
-0.429 0.000 7.697
Li B H N
6 6 32 4
Cartesian
0.490 6.981 2.417
2.114 3.491 1.607
2.006 5.128 5.651
5.122 1.637 2.046
5.014 0.000 6.090
6.639 3.490 5.281
0.701 4.744 3.324
0.717 3.723 7.064
2.753 0.991 2.019
4.376 4.482 5.679
6.411 0.232 0.633
6.427 1.252 4.374
-0.383 4.250 6.970
0.016 1.120 3.967
0.639 4.965 2.114
1.075 2.760 0.111
1.218 5.718 3.873
1.123 0.689 5.956
1.127 3.317 5.975
1.371 3.745 3.534
1.491 4.573 7.502
1.858 1.598 2.605
2.322 6.945 1.510
2.050 0.200 7.210
3.221 1.696 1.132
3.076 0.843 4.650
3.077 1.876 5.915
3.616 0.679 2.833
3.512 4.170 4.864
4.051 5.367 1.783
4.052 4.334 3.048
3.908 5.187 6.566
5.078 3.691 0.488
4.807 3.454 6.187
5.270 5.089 5.092
5.637 1.082 0.195
5.758 0.254 4.163
6.005 4.180 1.741
6.001 6.808 1.722
5.910 2.227 3.825
6.053 6.251 7.587
6.489 1.474 5.584
7.112 4.611 3.731
7.511 0.759 0.728
1.979 0.167 6.186
3.141 0.878 5.674
3.988 4.369 2.023
5.149 3.658 1.511
```

Principal peaks in the range 10 to 90 degrees two-theta, by angle:
(1 0 0), 2θ 11.73, intensity 31.8
(0 1 1), 2θ 17.15, intensity 32.9
(1 1 -1), 2θ 20.45, intensity 43.9
(0 0 2), 2θ 23.11, intensity 56.0
(0 2 0), 2θ 25.52, intensity 87.9
(1 0 2), 2θ 26.58, intensity 90.5
(2 1 0), 2θ 26.86, intensity 100.0
(1 1 -2), 2θ 28.47, intensity 56.0